Simulated powder XRD pattern
Compound: La2DySe2O2
Radiation: copper Kα
Structure: the GGA-PBE geometry in Alexandria
Neutral-atom scattering factors, no anomalous dispersion.

Top 6 peaks for 2θ from 10° to 80°, sorted by position:
2θ (°)  I (rel.)  index
26.52  336  1 0 3
28.90  1000  1 1 0
35.06  833  1 0 5
41.33  474  2 0 0
55.28  519  2 1 5
67.83  179  3 1 0

Structure:
```
data_La2DySe2O2
_chemical_formula_sum 'La4 Dy2 Se4 O4'
_space_group_name_H-M_alt 'I 4/m m m'
_space_group_IT_number 139
_space_group_name_Hall '-I 4 2'
_cell_length_a 4.3694
_cell_length_b 4.3694
_cell_length_c 15.7869
_cell_angle_alpha 90.00
_cell_angle_beta 90.00
_cell_angle_gamma 90.00
loop_
_atom_site_label
_atom_site_type_symbol
_atom_site_fract_x
_atom_site_fract_y
_atom_site_fract_z
_atom_site_occupancy
La1 La 0.0000 0.0000 0.1273 1
Dy1 Dy 0.0000 0.0000 0.5000 1
Se1 Se 0.0000 0.0000 0.3209 1
O1 O 0.0000 0.5000 0.0000 1
```